For Pm2Cd2Hg5, a DFT-relaxed cell (PBE, Alexandria) gives the simulated XRD peak list in this record (Cu Kα, 1.54184 Å).
No peak broadening, texture or thermal motion is included.

Main lines, in order of falling intensity (2θ from 10° to 80°):
- d = 2.603 Å, 2θ = 34.46°, I 100.0
- d = 2.348 Å, 2θ = 38.33°, I 90.6
- d = 2.821 Å, 2θ = 31.72°, I 87.9
- d = 2.564 Å, 2θ = 34.99°, I 67.8
- d = 2.896 Å, 2θ = 30.87°, I 51.3
- d = 2.783 Å, 2θ = 32.16°, I 50.9
- d = 3.261 Å, 2θ = 27.35°, I 35.4
- d = 2.882 Å, 2θ = 31.03°, I 33.4
- d = 2.443 Å, 2θ = 36.80°, I 32.8
- d = 3.287 Å, 2θ = 27.13°, I 30.3
- d = 1.709 Å, 2θ = 53.63°, I 23.2
- d = 1.448 Å, 2θ = 64.32°, I 20.3

Structure:
```
18
Lattice="-9.062 3.734 3.527 9.062 -3.734 3.527 9.062 3.734 -3.527" Properties=species:S:1:pos:R:3 pbc="T T T"
Pm 1.945 0.674 0.000
Pm 7.117 0.674 0.000
Pm 1.945 3.060 3.527
Pm 7.117 3.060 3.527
Cd 4.531 2.038 -1.653
Cd 4.531 1.697 1.875
Cd 0.000 3.734 0.936
Cd 0.000 0.000 4.463
Hg 9.969 2.347 -1.425
Hg 8.155 -1.387 2.102
Hg 13.593 1.201 0.841
Hg -0.907 1.387 2.102
Hg 9.969 1.387 2.102
Hg 2.908 3.708 0.344
Hg 6.154 3.708 0.344
Hg 2.908 0.026 3.872
Hg 6.154 0.026 3.872
Hg -4.531 2.534 4.368
```